[1]
# Dy2YGe4Pt4
Computed X-ray powder pattern, copper Kα. Input: a structure optimized by DFT (PBE).

Cell: 8.0978 8.0978 8.0978 Å, 149.97 127.74 61.45°
Positions (direct):
Dy  0.1255  0.1255  0.0000
Dy  0.8745  0.8745  0.0000
Y  0.5000  0.0000  0.5000
Ge  0.1878  0.5000  0.6878
Ge  0.2813  0.7813  0.5000
Ge  0.7187  0.2187  0.5000
Ge  0.8122  0.5000  0.3122
Pt  0.1227  0.3258  0.7969
Pt  0.4711  0.6742  0.7969
Pt  0.5289  0.3258  0.2031
Pt  0.8773  0.6742  0.2031

Largest 12 diffraction maxima, in order of falling intensity, 15 to 90 degrees two-theta:
Position (°2θ), d (Å), I (rel.)
33.6, 2.667, 100
38.4, 2.345, 74
35.8, 2.508, 64
38.8, 2.320, 55
43.1, 2.098, 50
42.7, 2.116, 43
46.7, 1.945, 38
62.3, 1.490, 28
34.6, 2.594, 24
45.8, 1.983, 22
75.9, 1.254, 21
28.7, 3.112, 20

***

[2]
# Dy2GeSe4
Computed X-ray powder pattern, copper Kα. Input: a structure optimized by DFT (PBE).

Cell: 7.7131 7.7131 7.7131 Å, 132.39 132.39 69.61°
Positions (direct):
Dy  0.0000  0.0000  0.0000
Dy  0.7500  0.2500  0.5000
Ge  0.2500  0.7500  0.5000
Se  0.1363  0.1335  0.5145
Se  0.3782  0.8637  0.9972
Se  0.6190  0.6218  0.4855
Se  0.8665  0.3810  0.0028

Largest 12 diffraction maxima, in order of falling intensity, 15 to 90 degrees two-theta:
Position (°2θ), d (Å), I (rel.)
24.6, 3.615, 100
40.6, 2.220, 52
48.4, 1.880, 32
15.9, 5.588, 31
41.0, 2.201, 25
74.4, 1.275, 17
47.8, 1.904, 16
32.9, 2.720, 13
64.7, 1.440, 13
25.5, 3.494, 13
73.7, 1.285, 9
59.4, 1.557, 8

***

[3]
# SmDyZn2Ge2
Computed X-ray powder pattern, copper Kα. Input: a structure optimized by DFT (PBE).

Cell: 4.2595 4.2595 15.8288 Å, 90.00 90.00 120.00°
Positions (direct):
Sm  0.0000  0.0000  0.0000
Sm  0.0000  0.0000  0.5000
Dy  0.0000  0.0000  0.2500
Dy  0.0000  0.0000  0.7500
Zn  0.3333  0.6667  0.1489
Zn  0.3333  0.6667  0.3511
Zn  0.6667  0.3333  0.6489
Zn  0.6667  0.3333  0.8511
Ge  0.3333  0.6667  0.6166
Ge  0.3333  0.6667  0.8834
Ge  0.6667  0.3333  0.1166
Ge  0.6667  0.3333  0.3834

Largest 12 diffraction maxima, in order of falling intensity, 15 to 90 degrees two-theta:
Position (°2θ), d (Å), I (rel.)
33.2, 2.698, 100
42.4, 2.130, 47
54.9, 1.672, 24
71.8, 1.315, 21
64.3, 1.450, 19
24.1, 3.689, 15
45.9, 1.979, 9
77.7, 1.230, 8
52.5, 1.743, 7
76.7, 1.242, 6
47.1, 1.928, 4
85.1, 1.140, 3

***

[4]
# TbDySn2Ge2
Computed X-ray powder pattern, copper Kα. Input: a structure optimized by DFT (PBE).

Cell: 4.0731 8.4622 8.4622 Å, 29.40 90.00 90.00°
Positions (direct):
Tb  0.0000  0.0000  0.0000
Dy  0.5000  0.1882  0.1882
Sn  0.0000  0.3479  0.3479
Sn  0.5000  0.8396  0.8396
Ge  0.0000  0.6480  0.6480
Ge  0.5000  0.5407  0.5407

Largest 12 diffraction maxima, in order of falling intensity, 15 to 90 degrees two-theta:
Position (°2θ), d (Å), I (rel.)
34.5, 2.599, 100
32.8, 2.728, 20
42.1, 2.147, 14
44.5, 2.037, 12
72.0, 1.311, 12
24.4, 3.647, 11
54.4, 1.687, 10
75.5, 1.260, 10
59.7, 1.549, 9
62.9, 1.478, 9
56.4, 1.632, 9
72.8, 1.299, 8